No. 1
Diffraction record for Sm7Ho2Er3. The powder XRD pattern is simulated, not measured: it uses a cell relaxed with PBE and Cu Kα, 1.54184 Å.

Structure:
Cell: 5.7417 37.8962 3.6110 Å, 90.00 90.00 90.00°
Space group Cmmm (No. 65)
Inequivalent atoms, fractional coordinates:
Sm 0.0000 0.0000 0.0000 x2
Sm 0.0000 0.0725 0.5000 x4
Sm 0.0000 0.2320 0.0000 x4
Sm 0.0000 0.4074 0.0000 x4
Ho 0.0000 0.1487 0.0000 x4
Er 0.0000 0.3153 0.5000 x4
Er 0.0000 0.5000 0.5000 x2

Largest 8 diffraction maxima, in order of rising 2θ, 10 to 90 degrees two-theta:
- (0 12 0), 2θ = 28.26°, I 196
- (1 11 0), 2θ = 30.25°, I 397
- (2 0 0), 2θ = 31.15°, I 837
- (1 5 1), 2θ = 31.56°, I 1000
- (1 7 1), 2θ = 33.67°, I 356
- (1 13 0), 2θ = 34.51°, I 279
- (2 8 1), 2θ = 44.63°, I 187
- (3 5 1), 2θ = 55.69°, I 201

***

No. 2
Diffraction record for SmHo5Er5. The powder XRD pattern is simulated, not measured: it uses a cell relaxed with PBE and Cu Kα, 1.54184 Å.

Structure:
Cell: 6.7712 6.9238 8.2386 Å, 76.43 76.96 72.87°
Space group P-1 (No. 2)
Inequivalent atoms, fractional coordinates:
Sm 0.0000 0.0000 0.0000 x1
Ho 0.0000 0.5000 0.0000 x1
Ho 0.1580 0.6290 0.3585 x2
Ho 0.3259 0.7641 0.6550 x2
Er 0.2088 0.1375 0.3176 x2
Er 0.3528 0.2487 0.7171 x2
Er 0.5000 0.5000 0.0000 x1

Largest 8 diffraction maxima, in order of rising 2θ, 10 to 90 degrees two-theta:
- (0 2 -1), 2θ = 31.58°, I 584
- (2 0 -1), 2θ = 31.99°, I 1000
- (0 2 2), 2θ = 32.37°, I 970
- (2 2 1), 2θ = 32.56°, I 706
- (2 0 2), 2θ = 33.00°, I 749
- (1 -2 0), 2θ = 33.97°, I 290
- (0 0 3), 2θ = 34.07°, I 653
- (2 -2 0), 2θ = 44.57°, I 217

***

No. 3
Diffraction record for Sm2Ho3Er5. The powder XRD pattern is simulated, not measured: it uses a cell relaxed with PBE and Cu Kα, 1.54184 Å.

Structure:
Cell: 10.5614 15.7302 9.3642 Å, 90.00 124.02 90.00°
Space group C2/c (No. 15)
Inequivalent atoms, fractional coordinates:
Sm 0.1418 0.1265 0.0468 x8
Ho 0.0000 0.2730 0.7500 x4
Ho 0.1573 0.3789 0.5494 x8
Er 0.0000 0.0226 0.2500 x4
Er 0.0000 0.2313 0.2500 x4
Er 0.0000 0.4722 0.7500 x4
Er 0.2325 0.3816 0.2203 x8

Largest 8 diffraction maxima, in order of rising 2θ, 10 to 90 degrees two-theta:
- (2 4 0), 2θ = 30.56°, I 554
- (2 4 -2), 2θ = 30.66°, I 1000
- (2 2 -3), 2θ = 30.84°, I 483
- (0 4 2), 2θ = 32.41°, I 237
- (4 0 -2), 2θ = 33.95°, I 468
- (0 6 3), 2θ = 49.50°, I 201
- (4 8 -2), 2θ = 58.57°, I 193
- (2 10 -3), 2θ = 66.54°, I 212

***

No. 4
Diffraction record for Sm3HoEr2. The powder XRD pattern is simulated, not measured: it uses a cell relaxed with PBE and Cu Kα, 1.54184 Å.

Structure:
Cell: 7.1956 7.1980 8.8698 Å, 78.24 78.21 60.05°
Space group P-1 (No. 2)
Inequivalent atoms, fractional coordinates:
Sm 0.1394 0.1388 0.1648 x2
Sm 0.1394 0.6390 0.1664 x2
Sm 0.2514 0.7494 0.5023 x2
Ho 0.2512 0.2489 0.5017 x2
Er 0.3629 0.3605 0.8337 x2
Er 0.3638 0.8608 0.8322 x2

Largest 8 diffraction maxima, in order of rising 2θ, 10 to 90 degrees two-theta:
- (2 2 1), 2θ = 28.85°, I 366
- (0 0 3), 2θ = 31.13°, I 500
- (2 0 -1), 2θ = 31.87°, I 1000
- (2 0 2), 2θ = 33.57°, I 877
- (4 2 1), 2θ = 50.73°, I 385
- (2 0 -4), 2θ = 54.74°, I 216
- (2 0 5), 2θ = 58.04°, I 184
- (4 2 4), 2θ = 60.71°, I 374

***

No. 5
Diffraction record for SmHo5Er7. The powder XRD pattern is simulated, not measured: it uses a cell relaxed with PBE and Cu Kα, 1.54184 Å.

Structure:
Cell: 6.6483 11.0149 11.4572 Å, 90.00 90.00 90.00°
Space group Imm2 (No. 44)
Inequivalent atoms, fractional coordinates:
Sm 0.0000 0.0000 0.0000 x2
Ho 0.0000 0.5000 0.3011 x2
Ho 0.2329 0.2280 0.8012 x8
Er 0.0000 0.0000 0.3044 x2
Er 0.0000 0.0000 0.6102 x2
Er 0.0000 0.3301 0.0520 x4
Er 0.0000 0.3297 0.5521 x4
Er 0.0000 0.5000 0.8029 x2

Largest 8 diffraction maxima, in order of rising 2θ, 10 to 90 degrees two-theta:
- (1 3 0), 2θ = 27.76°, I 369
- (2 0 2), 2θ = 31.11°, I 490
- (0 0 4), 2θ = 31.23°, I 769
- (2 2 0), 2θ = 31.46°, I 712
- (1 3 2), 2θ = 31.93°, I 1000
- (2 2 2), 2θ = 35.21°, I 958
- (0 4 2), 2θ = 36.19°, I 353
- (2 2 6), 2θ = 58.18°, I 398

***

No. 6
Diffraction record for Sm2Ho12Er. The powder XRD pattern is simulated, not measured: it uses a cell relaxed with PBE and Cu Kα, 1.54184 Å.

Structure:
Cell: 3.5607 5.5854 24.0262 Å, 90.00 94.19 90.00°
Space group P2/m (No. 10)
Inequivalent atoms, fractional coordinates:
Sm 0.1391 0.0000 0.2791 x2
Ho 0.0342 0.5000 0.0658 x2
Ho 0.0671 0.0000 0.1337 x2
Ho 0.2224 0.5000 0.4445 x2
Ho 0.2862 0.0000 0.5733 x2
Ho 0.3354 0.5000 0.6707 x2
Ho 0.4037 0.5000 0.8086 x2
Er 0.5000 0.0000 0.0000 x1

Largest 8 diffraction maxima, in order of rising 2θ, 10 to 90 degrees two-theta:
- (0 1 7), 2θ = 30.63°, I 616
- (1 1 -3), 2θ = 31.22°, I 1000
- (0 2 0), 2θ = 32.05°, I 786
- (1 0 5), 2θ = 32.48°, I 453
- (0 1 8), 2θ = 33.96°, I 437
- (1 1 -5), 2θ = 34.29°, I 515
- (1 2 5), 2θ = 46.27°, I 303
- (2 2 -1), 2θ = 61.80°, I 242

***

No. 7
Diffraction record for SmHo2Er9. The powder XRD pattern is simulated, not measured: it uses a cell relaxed with PBE and Cu Kα, 1.54184 Å.

Structure:
Cell: 4.9757 4.9757 14.9258 Å, 90.00 90.00 90.00°
Space group P4/mmm (No. 123)
Inequivalent atoms, fractional coordinates:
Sm 0.0000 0.0000 0.0000 x1
Ho 0.0000 0.0000 0.3339 x2
Er 0.0000 0.5000 0.1681 x4
Er 0.0000 0.5000 0.5000 x2
Er 0.5000 0.5000 0.0000 x1
Er 0.5000 0.5000 0.3343 x2

Largest 8 diffraction maxima, in order of rising 2θ, 10 to 90 degrees two-theta:
- (1 1 3), 2θ = 31.13°, I 1000
- (2 0 0), 2θ = 36.10°, I 506
- (2 2 0), 2θ = 51.98°, I 359
- (3 1 3), 2θ = 61.85°, I 427
- (2 2 6), 2θ = 64.92°, I 123
- (4 0 0), 2θ = 76.60°, I 57
- (3 3 3), 2θ = 84.97°, I 179
- (4 2 0), 2θ = 87.72°, I 168

***

No. 8
Diffraction record for Tb4Sm2HoEr. The powder XRD pattern is simulated, not measured: it uses a cell relaxed with PBE and Cu Kα, 1.54184 Å.

Structure:
Cell: 13.6154 13.2672 6.8068 Å, 90.00 119.99 90.00°
Space group C2/c (No. 15)
Inequivalent atoms, fractional coordinates:
Tb 0.9998 0.2475 0.0014 x8
Tb 0.2477 0.0024 0.4961 x8
Sm 0.0000 0.5000 0.0000 x4
Sm 0.2500 0.2500 0.0000 x4
Ho 0.0000 0.0000 0.0000 x4
Er 0.2500 0.2500 0.5000 x4

Largest 8 diffraction maxima, in order of rising 2θ, 10 to 90 degrees two-theta:
- (0 4 0), 2θ = 26.88°, I 453
- (4 0 0), 2θ = 30.32°, I 1000
- (4 4 0), 2θ = 40.96°, I 886
- (8 0 -2), 2θ = 53.87°, I 200
- (8 4 -2), 2θ = 61.21°, I 272
- (8 0 -4), 2θ = 63.08°, I 124
- (4 8 0), 2θ = 64.47°, I 232
- (8 4 -4), 2θ = 69.83°, I 183